For V5O12, a structure optimized by DFT (PBE+U) gives the simulated PXRD pattern in this record (Cu Ka).

Largest 8 diffraction maxima, sorted by position, 2θ = 15–90°:
- (0 1 1), 21.6 deg, I = 35
- (0 0 2), 24.0 deg, I = 98
- (1 -1 0), 24.1 deg, I = 100
- (1 1 0), 24.9 deg, I = 93
- (1 -1 2), 32.9 deg, I = 49
- (1 1 -2), 33.4 deg, I = 51
- (0 2 0), 33.8 deg, I = 47
- (1 1 -4), 53.8 deg, I = 34

Structural model:
```
data_V5O12
_space_group_name_H-M_alt 'P 1'
_space_group_IT_number 1
_space_group_name_Hall 'P 1'
_cell_length_a 4.972
_cell_length_b 5.346
_cell_length_c 7.471
_cell_angle_alpha 96.46
_cell_angle_beta 90.07
_cell_angle_gamma 91.88
loop_
_atom_site_label
_atom_site_fract_x
_atom_site_fract_y
_atom_site_fract_z
_atom_site_occupancy
V1 0.000 0.000 0.000 1
V2 0.014 0.420 0.298 1
V3 0.477 0.895 0.764 1
V4 0.531 0.888 0.291 1
V5 0.964 0.404 0.760 1
O1 0.099 0.368 0.548 1
O2 0.166 0.705 0.863 1
O3 0.183 0.020 0.201 1
O4 0.295 0.159 0.856 1
O5 0.317 0.551 0.251 1
O6 0.397 0.878 0.546 1
O7 0.677 0.859 0.036 1
O8 0.678 0.554 0.735 1
O9 0.695 0.169 0.343 1
O10 0.810 0.063 0.758 1
O11 0.823 0.673 0.345 1
O12 0.910 0.334 0.047 1
```